Record 1
Computed powder diffraction line list
Compound: CaAl2Zn10
Radiation: Cu Kα (λ = 1.5418 Å)
Structure: the GGA-PBE geometry in Alexandria

Structural model:
```
CaAl2Zn10
1.0
0.0000 6.3136 6.3327
2.6767 0.0000 6.3327
2.6767 6.3136 0.0000
Ca Al Zn
1 2 10
Cartesian
0.0000 0.0000 0.0000
1.3384 0.0000 3.1664
1.3384 6.3136 3.1664
1.3384 3.1568 0.0000
2.6767 2.2464 4.0936
2.6767 4.9042 4.9575
2.6767 2.2464 8.5718
2.6767 4.9042 7.7080
1.3384 3.1568 6.3327
2.6767 7.7230 4.9575
2.6767 10.3807 4.0936
2.6767 7.7230 7.7080
2.6767 10.3807 8.5718
```

Peak list (10 most intense, 2θ from 10° to 80°, sorted by position)
Position (°2θ)	Rel. int.
14.03	40
33.48	30
34.44	40
39.23	56
40.07	100
40.34	52
44.34	76
45.10	54
64.31	23
72.60	21

***

Record 2
Computed powder diffraction line list
Compound: CaAl7Zn5
Radiation: Cu Kα (λ = 1.5418 Å)
Structure: the GGA-PBE geometry in Alexandria

Structural model:
```
CaAl7Zn5
1.0
-2.5680 4.6679 4.6628
2.5680 -4.6679 4.6628
2.5680 4.6679 -4.6628
Ca Al Zn
1 7 5
Cartesian
0.0000 0.0000 0.0000
2.5680 2.0325 0.0025
0.0000 3.3101 0.0071
0.0000 0.0000 3.3165
0.0000 6.0257 0.0071
0.0000 0.0000 6.0215
0.0000 2.6354 4.6653
0.0000 4.6679 2.6469
1.2827 2.3594 -2.3274
1.2853 -2.3085 2.3353
2.5680 0.0000 2.0109
1.2827 6.9764 -2.3274
1.2853 2.3085 2.3353
```

Peak list (10 most intense, 2θ from 10° to 80°, sorted by position)
Position (°2θ)	Rel. int.
19.03	93
27.03	27
38.60	83
38.97	57
40.08	100
43.37	60
44.72	86
56.86	30
70.83	27
74.12	21

***

Record 3
Computed powder diffraction line list
Compound: CaAlZn
Radiation: Cu Kα (λ = 1.5418 Å)
Structure: the GGA-PBE geometry in Alexandria

Structural model:
```
CaAlZn
1.0
-2.8047 2.8113 3.9484
2.8047 -2.8113 3.9484
2.8047 2.8113 -3.9484
Ca Al Zn
2 2 2
Cartesian
0.0000 1.4057 0.9932
2.8047 1.4057 2.9552
2.8047 0.0000 0.0000
0.0000 0.0000 3.9484
1.4024 1.4057 -1.9742
1.4024 -1.4057 1.9742
```

Peak list (10 most intense, 2θ from 10° to 80°, sorted by position)
Position (°2θ)	Rel. int.
19.38	33
22.52	14
31.83	22
31.96	21
37.59	100
37.74	49
39.37	63
60.60	31
60.93	11
66.83	24

***

Record 4
Computed powder diffraction line list
Compound: Ca2Al3Zn4
Radiation: Cu Kα (λ = 1.5418 Å)
Structure: the GGA-PBE geometry in Alexandria

Structural model:
```
Ca2Al3Zn4
1.0
2.8824 -7.9389 0.0000
2.8824 7.9389 0.0000
0.0000 0.0000 7.6905
Ca Al Zn
4 6 8
Cartesian
2.8824 6.3144 6.8955
2.8824 1.6245 3.0503
2.8824 -1.6245 4.6403
2.8824 -6.3144 0.7950
0.0000 0.0000 3.8453
1.4412 3.7185 5.7679
1.4412 -3.7185 1.9226
2.8824 0.0000 0.0000
4.3236 3.7185 5.7679
4.3236 -3.7185 1.9226
2.8824 5.2123 3.9413
1.4412 1.0962 5.7679
1.4412 -1.0962 1.9226
2.8824 2.7267 0.0961
2.8824 -2.7267 7.5945
4.3236 1.0962 5.7679
4.3236 -1.0962 1.9226
2.8824 -5.2123 3.7492
```

Peak list (10 most intense, 2θ from 10° to 80°, sorted by position)
Position (°2θ)	Rel. int.
25.25	22
25.62	33
34.28	65
35.12	57
36.84	39
39.05	100
40.41	23
41.42	56
46.59	29
68.55	38

***

Record 5
Computed powder diffraction line list
Compound: Ca4AlZn3
Radiation: Cu Kα (λ = 1.5418 Å)
Structure: the GGA-PBE geometry in Alexandria

Structural model:
```
Ca4AlZn3
1.0
2.6064 1.5048 8.5651
-2.6064 1.5048 8.5651
0.0000 -3.0096 8.5651
Ca Al Zn
4 1 3
Cartesian
0.0000 0.0000 3.1858
0.0000 0.0000 9.6164
0.0000 0.0000 16.0788
0.0000 0.0000 22.5093
0.0000 0.0000 12.8476
0.0000 0.0000 0.0000
0.0000 0.0000 6.3731
0.0000 0.0000 19.3221
```

Peak list (10 most intense, 2θ from 10° to 80°, sorted by position)
Position (°2θ)	Rel. int.
10.33	5
19.97	5
24.09	7
34.26	100
34.41	99
49.35	34
61.26	16
61.57	49
72.19	10
72.54	10

***

Record 6
Computed powder diffraction line list
Compound: Ca3Al7Zn4
Radiation: Cu Kα (λ = 1.5418 Å)
Structure: the GGA-PBE geometry in Alexandria

Structural model:
```
Ca3Al7Zn4
1.0
7.9793 -2.1630 0.0000
7.9793 2.1630 0.0000
-5.9694 0.0000 7.9074
Ca Al Zn
3 7 4
Cartesian
0.0000 0.0000 0.0000
3.0854 0.0000 2.3737
6.9038 0.0000 5.5338
-2.9847 0.0000 3.9537
-0.0735 0.0000 3.3523
-0.5309 0.0000 7.7574
3.7337 0.0000 5.4930
6.2555 0.0000 2.4144
10.5200 0.0000 0.1501
10.0626 0.0000 4.5552
-3.0025 0.0000 6.6873
1.1342 0.0000 5.7347
8.8550 0.0000 2.1727
12.9917 0.0000 1.2201
```

Peak list (10 most intense, 2θ from 10° to 80°, sorted by position)
Position (°2θ)	Rel. int.
22.47	34
26.37	49
28.04	35
33.09	35
34.16	75
34.44	85
34.97	100
41.76	88
42.55	91
44.32	33

***

Record 7
Computed powder diffraction line list
Compound: Ca3Al2Zn7
Radiation: Cu Kα (λ = 1.5418 Å)
Structure: the GGA-PBE geometry in Alexandria

Structural model:
```
Ca3Al2Zn7
1.0
2.7821 1.6062 8.6167
-2.7821 1.6062 8.6167
0.0000 -3.2125 8.6167
Ca Al Zn
3 2 7
Cartesian
0.0000 0.0000 0.0000
0.0000 0.0000 3.6731
0.0000 0.0000 22.1771
0.0000 0.0000 8.6398
0.0000 0.0000 17.2104
-1.4106 -0.8144 10.7499
0.0000 -1.6289 15.1003
-1.4106 0.8144 15.1003
0.0000 0.0000 12.9251
1.4106 -0.8144 10.7499
0.0000 1.6289 10.7499
1.4106 0.8144 15.1003
```

Peak list (10 most intense, 2θ from 10° to 80°, sorted by position)
Position (°2θ)	Rel. int.
18.73	35
20.62	27
33.39	30
37.49	56
37.99	33
38.52	100
41.34	61
41.94	33
44.92	31
67.31	31

***

Record 8
Computed powder diffraction line list
Compound: AlCd
Radiation: Cu Kα (λ = 1.5418 Å)
Structure: the GGA-PBE geometry in Alexandria

Structural model:
```
AlCd
1.0
2.1967 -4.7289 0.0000
2.1967 4.7289 0.0000
0.0000 0.0000 4.2091
Al Cd
2 2
Cartesian
2.1967 3.8900 3.1569
2.1967 -3.8900 1.0523
2.1967 1.1803 3.1569
2.1967 -1.1803 1.0523
```

Peak list (10 most intense, 2θ from 10° to 80°, sorted by position)
Position (°2θ)	Rel. int.
22.31	41
28.39	56
30.90	100
35.03	24
38.06	27
41.09	25
41.26	58
42.98	22
50.70	22
57.24	16

***

Record 9
Computed powder diffraction line list
Compound: AlCd
Radiation: Cu Kα (λ = 1.5418 Å)
Structure: the GGA-PBE geometry in Alexandria

Structural model:
```
AlCd
1.0
-1.4281 2.5236 5.8942
1.4281 -2.5236 5.8942
1.4281 2.5236 -5.8942
Al Cd
2 2
Cartesian
0.0000 1.2618 1.7569
1.4281 1.2618 4.1373
1.4281 1.2618 -1.1334
0.0000 1.2618 7.0277
```

Peak list (10 most intense, 2θ from 10° to 80°, sorted by position)
Position (°2θ)	Rel. int.
19.13	32
28.79	70
30.33	34
32.25	30
35.57	38
39.34	100
47.43	19
48.77	18
50.17	17
66.41	20

***

Record 10
Computed powder diffraction line list
Compound: Al4Cd3
Radiation: Cu Kα (λ = 1.5418 Å)
Structure: the GGA-PBE geometry in Alexandria

Structural model:
```
Al4Cd3
1.0
5.5524 0.0000 0.0000
-2.7762 4.8085 0.0000
0.0000 0.0000 5.5121
Al Cd
4 3
Cartesian
0.0000 0.0000 1.3149
0.0000 0.0000 4.1971
0.0000 3.2057 0.0000
2.7762 1.6028 0.0000
-1.3881 2.4042 2.7560
2.7762 0.0000 2.7560
1.3881 2.4042 2.7560
```

Peak list (10 most intense, 2θ from 10° to 80°, sorted by position)
Position (°2θ)	Rel. int.
16.08	100
18.45	20
24.57	23
32.49	27
36.23	30
37.40	63
37.62	34
40.95	96
50.37	26
63.75	26

***

Record 11
Computed powder diffraction line list
Compound: Al5Cd
Radiation: Cu Kα (λ = 1.5418 Å)
Structure: the GGA-PBE geometry in Alexandria

Structural model:
```
Al5Cd
1.0
2.9046 0.0000 0.0000
0.0000 2.9046 0.0000
0.0000 0.0000 12.6210
Al Cd
5 1
Cartesian
0.0000 0.0000 0.0000
0.0000 0.0000 3.9741
0.0000 0.0000 8.6469
1.4523 1.4523 1.9583
1.4523 1.4523 10.6627
1.4523 1.4523 6.3105
```

Peak list (10 most intense, 2θ from 10° to 80°, sorted by position)
Position (°2θ)	Rel. int.
14.03	32
21.12	15
30.78	11
31.61	22
33.98	24
37.63	100
43.00	15
44.09	33
63.28	19
76.80	23

***

Record 12
Computed powder diffraction line list
Compound: Al5Cd
Radiation: Cu Kα (λ = 1.5418 Å)
Structure: the GGA-PBE geometry in Alexandria

Structural model:
```
Al5Cd
1.0
2.0420 -6.2182 0.0000
2.0420 6.2182 0.0000
0.0000 0.0000 4.2054
Al Cd
5 1
Cartesian
0.0000 0.0000 0.0000
2.0420 4.0723 2.1027
2.0420 2.1498 0.0000
2.0420 -2.1498 0.0000
2.0420 -4.0723 2.1027
2.0420 0.0000 2.1027
```

Peak list (10 most intense, 2θ from 10° to 80°, sorted by position)
Position (°2θ)	Rel. int.
14.24	27
21.13	13
22.92	22
25.57	17
31.37	22
37.59	100
43.02	17
43.67	16
44.36	15
75.24	12